[1]
This entry pairs a crystal structure of Tb5As4O with its calculated X-ray powder pattern. Radiation: Cu Kα, 1.54184 Å. Structure: a crystal structure in Alexandria, relaxed with PBE.

Peak list (10 most intense, 2θ = 5–70°, in order of rising 2θ)
- 26.99 deg, rel. 50.1
- 30.76 deg, rel. 48.5
- 31.52 deg, rel. 100.0
- 44.62 deg, rel. 71.6
- 45.18 deg, rel. 35.5
- 52.44 deg, rel. 7.0
- 53.42 deg, rel. 14.2
- 55.65 deg, rel. 35.0
- 64.07 deg, rel. 4.6
- 65.81 deg, rel. 11.0

Atomic structure:
a = 6.980 Å, b = 6.980 Å, c = 6.980 Å
α = 99.98°, β = 99.98°, γ = 130.79°
Fractional positions:
Tb (0.000, 0.000, 0.000)
Tb (0.280, 0.665, 0.811)
Tb (0.469, 0.280, 0.615)
Tb (0.665, 0.855, 0.385)
Tb (0.855, 0.469, 0.189)
As (0.162, 0.368, 0.395)
As (0.368, 0.973, 0.206)
As (0.767, 0.162, 0.794)
As (0.973, 0.767, 0.605)
O (0.623, 0.623, 0.000)


[2]
This entry pairs a crystal structure of Mn5CrFe2 with its calculated X-ray powder pattern. Radiation: Cu Kα, 1.54184 Å. Structure: a crystal structure in Alexandria, relaxed with PBE.

Peak list (4 most intense, 2θ = 5–70°, in order of rising 2θ)
- 44.32 deg, rel. 100.0
- 46.86 deg, rel. 41.9
- 60.38 deg, rel. 9.1
- 68.44 deg, rel. 12.0

Atomic structure:
a = 5.483 Å, b = 5.483 Å, c = 6.132 Å
α = 90.00°, β = 90.00°, γ = 90.00°
Fractional positions:
Mn (0.000, 0.000, 0.000)
Mn (0.249, 0.249, 0.748)
Mn (0.249, 0.751, 0.748)
Mn (0.251, 0.251, 0.248)
Mn (0.251, 0.749, 0.248)
Mn (0.500, 0.500, 0.500)
Mn (0.749, 0.251, 0.248)
Mn (0.749, 0.749, 0.248)
Mn (0.751, 0.249, 0.748)
Mn (0.751, 0.751, 0.748)
Cr (0.000, 0.000, 0.497)
Cr (0.500, 0.500, 0.997)
Fe (0.000, 0.500, 0.498)
Fe (0.000, 0.500, 0.998)
Fe (0.500, 0.000, 0.498)
Fe (0.500, 0.000, 0.998)


[3]
This entry pairs a crystal structure of Na2GaSn4 with its calculated X-ray powder pattern. Radiation: Cu Kα, 1.54184 Å. Structure: a crystal structure in Alexandria, relaxed with PBE.

Peak list (10 most intense, 2θ = 5–70°, in order of rising 2θ)
- 15.96 deg, rel. 100.0
- 29.51 deg, rel. 45.9
- 30.27 deg, rel. 41.8
- 32.06 deg, rel. 37.1
- 36.01 deg, rel. 27.6
- 39.10 deg, rel. 73.7
- 42.78 deg, rel. 32.8
- 44.13 deg, rel. 31.0
- 58.90 deg, rel. 22.7
- 61.91 deg, rel. 26.4

Atomic structure:
a = 6.054 Å, b = 13.918 Å, c = 5.583 Å
α = 90.00°, β = 90.00°, γ = 90.00°
Fractional positions:
Na (0.000, 0.153, 0.000)
Na (0.000, 0.847, 0.000)
Na (0.500, 0.347, 0.000)
Na (0.500, 0.653, 0.000)
Ga (0.000, 0.500, 0.500)
Ga (0.500, 0.000, 0.500)
Sn (0.000, 0.296, 0.500)
Sn (0.000, 0.395, 0.000)
Sn (0.000, 0.605, 0.000)
Sn (0.000, 0.704, 0.500)
Sn (0.500, 0.105, 0.000)
Sn (0.500, 0.204, 0.500)
Sn (0.500, 0.796, 0.500)
Sn (0.500, 0.895, 0.000)


[4]
This entry pairs a crystal structure of AgP2Pd7 with its calculated X-ray powder pattern. Radiation: Cu Kα, 1.54184 Å. Structure: a crystal structure in Alexandria, relaxed with PBE.

Peak list (10 most intense, 2θ = 5–70°, in order of rising 2θ)
- 8.98 deg, rel. 7.5
- 31.73 deg, rel. 24.8
- 33.04 deg, rel. 30.1
- 36.49 deg, rel. 26.5
- 36.72 deg, rel. 33.1
- 42.24 deg, rel. 100.0
- 45.48 deg, rel. 57.6
- 49.12 deg, rel. 9.1
- 59.66 deg, rel. 24.6
- 66.28 deg, rel. 18.1

Atomic structure:
a = 10.245 Å, b = 10.245 Å, c = 10.245 Å
α = 157.55°, β = 157.55°, γ = 31.96°
Fractional positions:
Ag (0.000, 0.000, 0.000)
P (0.328, 0.328, 0.000)
P (0.672, 0.672, 0.000)
Pd (0.106, 0.606, 0.500)
Pd (0.250, 0.750, 0.500)
Pd (0.394, 0.894, 0.500)
Pd (0.500, 0.500, 0.000)
Pd (0.606, 0.106, 0.500)
Pd (0.750, 0.250, 0.500)
Pd (0.894, 0.394, 0.500)


[5]
This entry pairs a crystal structure of Pm5Sc4Ga4 with its calculated X-ray powder pattern. Radiation: Cu Kα, 1.54184 Å. Structure: a crystal structure in Alexandria, relaxed with PBE.

Peak list (10 most intense, 2θ = 5–70°, in order of rising 2θ)
- 10.33 deg, rel. 15.7
- 25.48 deg, rel. 27.7
- 29.50 deg, rel. 48.5
- 33.07 deg, rel. 100.0
- 36.33 deg, rel. 29.8
- 37.87 deg, rel. 17.2
- 39.38 deg, rel. 22.9
- 52.33 deg, rel. 26.6
- 63.32 deg, rel. 15.4
- 65.38 deg, rel. 14.8

Atomic structure:
a = 8.867 Å, b = 8.867 Å, c = 8.867 Å
α = 93.82°, β = 93.82°, γ = 150.09°
Fractional positions:
Pm (0.000, 0.000, 0.000)
Pm (0.300, 0.622, 0.923)
Pm (0.378, 0.300, 0.678)
Pm (0.622, 0.700, 0.322)
Pm (0.700, 0.378, 0.077)
Sc (0.099, 0.413, 0.513)
Sc (0.413, 0.901, 0.314)
Sc (0.587, 0.099, 0.686)
Sc (0.901, 0.587, 0.487)
Ga (0.072, 0.750, 0.822)
Ga (0.250, 0.072, 0.322)
Ga (0.750, 0.928, 0.678)
Ga (0.928, 0.250, 0.178)


[6]
This entry pairs a crystal structure of Sr3Sn3Au8 with its calculated X-ray powder pattern. Radiation: Cu Kα, 1.54184 Å. Structure: a crystal structure in Alexandria, relaxed with PBE.

Peak list (10 most intense, 2θ = 5–70°, in order of rising 2θ)
- 18.09 deg, rel. 53.4
- 31.78 deg, rel. 100.0
- 32.34 deg, rel. 79.5
- 35.81 deg, rel. 65.4
- 35.99 deg, rel. 38.5
- 36.67 deg, rel. 30.4
- 38.17 deg, rel. 89.8
- 41.22 deg, rel. 39.4
- 41.84 deg, rel. 34.4
- 42.07 deg, rel. 37.7

Atomic structure:
a = 9.052 Å, b = 9.052 Å, c = 9.810 Å
α = 121.47°, β = 121.47°, γ = 30.19°
Fractional positions:
Sr (0.000, 0.000, 0.000)
Sr (0.299, 0.299, 0.343)
Sr (0.701, 0.701, 0.657)
Sn (0.000, 0.000, 0.500)
Sn (0.326, 0.326, 0.984)
Sn (0.674, 0.674, 0.016)
Au (0.119, 0.119, 0.387)
Au (0.135, 0.135, 0.837)
Au (0.356, 0.356, 0.739)
Au (0.491, 0.491, 0.303)
Au (0.509, 0.509, 0.697)
Au (0.644, 0.644, 0.261)
Au (0.865, 0.865, 0.163)
Au (0.881, 0.881, 0.613)


[7]
This entry pairs a crystal structure of LiPuAsO with its calculated X-ray powder pattern. Radiation: Cu Kα, 1.54184 Å. Structure: a crystal structure in Alexandria, relaxed with PBE.

Peak list (10 most intense, 2θ = 5–70°, in order of rising 2θ)
- 16.03 deg, rel. 71.0
- 26.81 deg, rel. 26.6
- 28.02 deg, rel. 87.0
- 31.39 deg, rel. 20.1
- 36.39 deg, rel. 100.0
- 47.36 deg, rel. 36.3
- 49.48 deg, rel. 26.4
- 50.32 deg, rel. 23.9
- 58.54 deg, rel. 17.6
- 61.15 deg, rel. 22.7

Atomic structure:
a = 3.839 Å, b = 3.839 Å, c = 11.058 Å
α = 90.00°, β = 90.00°, γ = 120.00°
Fractional positions:
Li (0.000, 0.000, 0.000)
Li (0.000, 0.000, 0.500)
Pu (0.333, 0.667, 0.270)
Pu (0.667, 0.333, 0.770)
As (0.333, 0.667, 0.601)
As (0.667, 0.333, 0.101)
O (0.000, 0.000, 0.329)
O (0.000, 0.000, 0.829)


[8]
This entry pairs a crystal structure of Ba3Sr3Bi2N2 with its calculated X-ray powder pattern. Radiation: Cu Kα, 1.54184 Å. Structure: a crystal structure in Alexandria, relaxed with PBE.

Peak list (10 most intense, 2θ = 5–70°, in order of rising 2θ)
- 19.32 deg, rel. 14.8
- 27.91 deg, rel. 92.0
- 30.49 deg, rel. 100.0
- 34.36 deg, rel. 35.7
- 44.80 deg, rel. 16.3
- 47.78 deg, rel. 28.8
- 50.95 deg, rel. 24.3
- 56.22 deg, rel. 40.2
- 57.58 deg, rel. 12.6
- 57.75 deg, rel. 16.2

Atomic structure:
a = 7.614 Å, b = 7.614 Å, c = 12.811 Å
α = 90.00°, β = 90.00°, γ = 120.00°
Fractional positions:
Ba (0.174, 0.349, 0.250)
Ba (0.174, 0.826, 0.250)
Ba (0.349, 0.174, 0.750)
Ba (0.651, 0.826, 0.250)
Ba (0.826, 0.174, 0.750)
Ba (0.826, 0.651, 0.750)
Sr (0.000, 0.500, 0.000)
Sr (0.000, 0.500, 0.500)
Sr (0.500, 0.000, 0.000)
Sr (0.500, 0.000, 0.500)
Sr (0.500, 0.500, 0.000)
Sr (0.500, 0.500, 0.500)
Bi (0.000, 0.000, 0.000)
Bi (0.000, 0.000, 0.500)
Bi (0.333, 0.667, 0.750)
Bi (0.667, 0.333, 0.250)
N (0.333, 0.667, 0.113)
N (0.333, 0.667, 0.387)
N (0.667, 0.333, 0.613)
N (0.667, 0.333, 0.887)